No. 1
The following is a theoretical XRD peak list of HfGaCu. It was derived from a DFT-relaxed cell (PBE, the Materials Project), using Cu Ka.

Crystal structure
a b c (Å): 4.227 4.227 6.311
angles (deg): 90.00 90.00 120.00
Element x y z (fractional)
Hf1 0.000 0.000 0.000
Hf2 0.000 0.000 0.500
Ga1 0.333 0.667 0.250
Ga2 0.667 0.333 0.750
Cu1 0.333 0.667 0.750
Cu2 0.667 0.333 0.250

The 10 most intense peaks (10 to 90 degrees two-theta), sorted by position:
- 24.3°, I 27
- 37.6°, I 100
- 42.8°, I 58
- 49.8°, I 4
- 58.3°, I 28
- 58.5°, I 8
- 64.3°, I 4
- 74.9°, I 26
- 75.1°, I 21
- 78.4°, I 9


No. 2
The following is a theoretical XRD peak list of Na2YCuBr6. It was derived from a DFT-relaxed cell (PBE, the Materials Project), using Cu Ka.

Crystal structure
a b c (Å): 7.676 7.676 7.676
angles (deg): 60.00 60.00 60.00
Element x y z (fractional)
Na1 0.250 0.250 0.250
Na2 0.750 0.750 0.750
Y1 0.000 0.000 0.000
Cu1 0.500 0.500 0.500
Br1 0.256 0.256 0.744
Br2 0.256 0.744 0.256
Br3 0.256 0.744 0.744
Br4 0.744 0.256 0.256
Br5 0.744 0.256 0.744
Br6 0.744 0.744 0.256

The 10 most intense peaks (10 to 90 degrees two-theta), sorted by position:
- 16.3°, I 89
- 28.5°, I 58
- 33.0°, I 100
- 37.0°, I 44
- 47.4°, I 70
- 50.4°, I 22
- 56.2°, I 24
- 58.9°, I 24
- 78.9°, I 30
- 88.2°, I 23


No. 3
The following is a theoretical XRD peak list of Lu2MgS4. It was derived from a DFT-relaxed cell (PBE, the Materials Project), using Cu Ka.

Crystal structure
a b c (Å): 13.300 7.752 6.444
angles (deg): 90.00 90.00 90.00
Element x y z (fractional)
Lu1 0.000 0.000 0.000
Lu2 0.000 0.500 0.000
Lu3 0.232 0.250 0.499
Lu4 0.268 0.750 0.999
Lu5 0.500 0.000 0.500
Lu6 0.500 0.500 0.500
Lu7 0.732 0.250 0.001
Lu8 0.768 0.750 0.501
Mg1 0.092 0.750 0.570
Mg2 0.408 0.250 0.070
Mg3 0.592 0.750 0.930
Mg4 0.908 0.250 0.430
S1 0.072 0.250 0.251
S2 0.092 0.750 0.199
S3 0.168 0.506 0.755
S4 0.168 0.994 0.755
S5 0.332 0.006 0.255
S6 0.332 0.494 0.255
S7 0.408 0.250 0.699
S8 0.428 0.750 0.751
S9 0.572 0.250 0.249
S10 0.592 0.750 0.301
S11 0.668 0.506 0.745
S12 0.668 0.994 0.745
S13 0.832 0.006 0.245
S14 0.832 0.494 0.245
S15 0.908 0.250 0.801
S16 0.928 0.750 0.749

The 10 most intense peaks (10 to 90 degrees two-theta), sorted by position:
- 15.3°, I 62
- 19.1°, I 100
- 24.4°, I 55
- 26.6°, I 56
- 27.0°, I 49
- 27.7°, I 83
- 38.8°, I 98
- 38.9°, I 43
- 43.6°, I 29
- 47.2°, I 36